# TbScTeC
Theoretical PXRD pattern, a wavelength of 1.5418 Å. Input: a structure optimized by DFT (PBE).

Largest 10 diffraction maxima, in order of rising 2θ, 15 to 90 degrees two-theta:
19.5 deg, rel. 10
27.7 deg, rel. 34
30.7 deg, rel. 6
34.1 deg, rel. 100
39.5 deg, rel. 13
49.0 deg, rel. 41
61.0 deg, rel. 18
64.7 deg, rel. 18
68.2 deg, rel. 12
81.9 deg, rel. 16

Cell and atoms:
```
data_TbScTeC
_symmetry_space_group_name_H-M 'P -6 m 2'
_symmetry_Int_Tables_number 187
_symmetry_space_group_name_Hall 'P -6 2'
_cell_length_a 3.7177
_cell_length_b 3.7177
_cell_length_c 13.6867
_cell_angle_alpha 90.00
_cell_angle_beta 90.00
_cell_angle_gamma 120.00
loop_
_atom_site_label
_atom_site_type_symbol
_atom_site_fract_x
_atom_site_fract_y
_atom_site_fract_z
Tb1 Tb 0.0000 0.0000 0.1669
Sc1 Sc 0.6667 0.3333 0.3498
Te1 Te 0.0000 0.0000 0.5000
Te2 Te 0.6667 0.3333 0.0000
C1 C 0.3333 0.6667 0.2632
```

# Zr3ScTe2C2
Theoretical PXRD pattern, a wavelength of 1.5418 Å. Input: a structure optimized by DFT (PBE).

Largest 10 diffraction maxima, in order of rising 2θ, 15 to 90 degrees two-theta:
29.0 deg, rel. 25
32.0 deg, rel. 4
35.5 deg, rel. 100
40.5 deg, rel. 14
50.6 deg, rel. 13
51.4 deg, rel. 24
64.0 deg, rel. 17
67.4 deg, rel. 18
70.4 deg, rel. 12
86.5 deg, rel. 15

Cell and atoms:
```
data_Zr3ScTe2C2
_symmetry_space_group_name_H-M 'P 3 m 1'
_symmetry_Int_Tables_number 156
_cell_length_a 3.5525
_cell_length_b 3.5525
_cell_length_c 13.3609
_cell_angle_alpha 90.00
_cell_angle_beta 90.00
_cell_angle_gamma 120.00
loop_
_symmetry_equiv_pos_as_xyz
'x,y,z'
'-y,x-y,z'
'-x+y,-x,z'
'-y,-x,z'
'-x+y,y,z'
'x,x-y,z'
loop_
_atom_site_label
_atom_site_type_symbol
_atom_site_fract_x
_atom_site_fract_y
_atom_site_fract_z
Zr1 Zr 0.0000 0.0000 0.0000
Zr2 Zr 0.0000 0.0000 0.3228
Zr3 Zr 0.3333 0.6667 0.5012
Sc1 Sc 0.3333 0.6667 0.8221
Te1 Te 0.0000 0.0000 0.6612
Te2 Te 0.3333 0.6667 0.1618
C1 C 0.6667 0.3333 0.4120
C2 C 0.6667 0.3333 0.9124
```

# Sc5W2C7
Theoretical PXRD pattern, a wavelength of 1.5418 Å. Input: a structure optimized by DFT (PBE).

Largest 10 diffraction maxima, in order of rising 2θ, 15 to 90 degrees two-theta:
22.3 deg, rel. 32
25.9 deg, rel. 38
30.6 deg, rel. 40
34.3 deg, rel. 40
34.4 deg, rel. 43
35.9 deg, rel. 100
38.2 deg, rel. 59
38.3 deg, rel. 32
44.6 deg, rel. 38
55.9 deg, rel. 33

Cell and atoms:
```
data_Sc5W2C7
_symmetry_space_group_name_H-M 'C m m m'
_symmetry_Int_Tables_number 65
_symmetry_space_group_name_Hall '-C 2 2'
_cell_length_a 7.9265
_cell_length_b 13.8507
_cell_length_c 3.2212
_cell_angle_alpha 90.00
_cell_angle_beta 90.00
_cell_angle_gamma 90.00
loop_
_atom_site_label
_atom_site_type_symbol
_atom_site_fract_x
_atom_site_fract_y
_atom_site_fract_z
Sc1 Sc 0.0000 0.0000 0.0000
Sc2 Sc 0.2095 0.3726 0.5000
W1 W 0.0000 0.2134 0.0000
C1 C 0.0000 0.1172 0.5000
C2 C 0.0000 0.5000 0.0000
C3 C 0.1705 0.5000 0.0000
C4 C 0.2500 0.2500 0.0000
```

# Zr2Sc2C3
Theoretical PXRD pattern, a wavelength of 1.5418 Å. Input: a structure optimized by DFT (PBE).

Largest 10 diffraction maxima, in order of rising 2θ, 15 to 90 degrees two-theta:
17.5 deg, rel. 32
30.8 deg, rel. 26
32.9 deg, rel. 61
34.9 deg, rel. 100
35.2 deg, rel. 98
35.5 deg, rel. 46
35.9 deg, rel. 45
45.5 deg, rel. 30
55.7 deg, rel. 37
66.6 deg, rel. 28

Cell and atoms:
```
data_Zr2Sc2C3
_symmetry_space_group_name_H-M 'C 1 2/m 1'
_symmetry_Int_Tables_number 12
_cell_length_a 12.2159
_cell_length_b 3.3735
_cell_length_c 5.6792
_cell_angle_alpha 90.00
_cell_angle_beta 116.92
_cell_angle_gamma 90.00
loop_
_symmetry_equiv_pos_as_xyz
'x,y,z'
'-x,-y,-z'
'-x,y,-z'
'x,-y,z'
'x+1/2,y+1/2,z'
'-x+1/2,-y+1/2,-z'
'-x+1/2,y+1/2,-z'
'x+1/2,-y+1/2,z'
loop_
_atom_site_label
_atom_site_type_symbol
_atom_site_fract_x
_atom_site_fract_y
_atom_site_fract_z
Zr1 Zr 0.1309 0.0000 0.4547
Sc1 Sc 0.1303 0.5000 0.9799
C1 C 0.0000 0.0000 0.0000
C2 C 0.2333 0.5000 0.7214
```

# YTaCSe2
Theoretical PXRD pattern, a wavelength of 1.5418 Å. Input: a structure optimized by DFT (PBE).

Largest 10 diffraction maxima, in order of rising 2θ, 15 to 90 degrees two-theta:
16.9 deg, rel. 21
30.0 deg, rel. 31
34.6 deg, rel. 100
39.7 deg, rel. 34
46.0 deg, rel. 20
53.3 deg, rel. 38
65.1 deg, rel. 16
70.1 deg, rel. 9
70.8 deg, rel. 11
88.9 deg, rel. 14

Cell and atoms:
```
data_YTaCSe2
_symmetry_space_group_name_H-M 'P 3 m 1'
_symmetry_Int_Tables_number 156
_cell_length_a 3.4385
_cell_length_b 3.4385
_cell_length_c 10.5231
_cell_angle_alpha 90.00
_cell_angle_beta 90.00
_cell_angle_gamma 120.00
loop_
_symmetry_equiv_pos_as_xyz
'x,y,z'
'-y,x-y,z'
'-x+y,-x,z'
'-y,-x,z'
'-x+y,y,z'
'x,x-y,z'
loop_
_atom_site_label
_atom_site_type_symbol
_atom_site_fract_x
_atom_site_fract_y
_atom_site_fract_z
Y1 Y 0.0000 0.0000 0.0000
Ta1 Ta 0.6667 0.3333 0.7495
C1 C 0.3333 0.6667 0.8535
Se1 Se 0.0000 0.0000 0.5836
Se2 Se 0.6667 0.3333 0.1962
```

# Tc2TeCSe
Theoretical PXRD pattern, a wavelength of 1.5418 Å. Input: a structure optimized by DFT (PBE).

Largest 10 diffraction maxima, in order of rising 2θ, 15 to 90 degrees two-theta:
18.8 deg, rel. 14
30.7 deg, rel. 36
36.3 deg, rel. 100
42.3 deg, rel. 46
48.1 deg, rel. 11
49.7 deg, rel. 10
54.7 deg, rel. 31
58.2 deg, rel. 10
67.4 deg, rel. 16
75.7 deg, rel. 17

Cell and atoms:
```
data_Tc2TeCSe
_symmetry_space_group_name_H-M 'P 3 m 1'
_symmetry_Int_Tables_number 156
_cell_length_a 3.3588
_cell_length_b 3.3588
_cell_length_c 9.4599
_cell_angle_alpha 90.00
_cell_angle_beta 90.00
_cell_angle_gamma 120.00
loop_
_symmetry_equiv_pos_as_xyz
'x,y,z'
'-y,x-y,z'
'-x+y,-x,z'
'-y,-x,z'
'-x+y,y,z'
'x,x-y,z'
loop_
_atom_site_label
_atom_site_type_symbol
_atom_site_fract_x
_atom_site_fract_y
_atom_site_fract_z
Tc1 Tc 0.0000 0.0000 0.0000
Tc2 Tc 0.3333 0.6667 0.2144
Te1 Te 0.0000 0.0000 0.4356
C1 C 0.6667 0.3333 0.1555
Se1 Se 0.3333 0.6667 0.8339
```

# Zr2TeCSe
Theoretical PXRD pattern, a wavelength of 1.5418 Å. Input: a structure optimized by DFT (PBE).

Largest 10 diffraction maxima, in order of rising 2θ, 15 to 90 degrees two-theta:
17.0 deg, rel. 19
29.3 deg, rel. 30
34.1 deg, rel. 100
39.4 deg, rel. 26
45.9 deg, rel. 20
52.0 deg, rel. 26
63.6 deg, rel. 16
70.0 deg, rel. 12
70.5 deg, rel. 10
86.6 deg, rel. 13

Cell and atoms:
```
data_Zr2TeCSe
_symmetry_space_group_name_H-M 'P 3 m 1'
_symmetry_Int_Tables_number 156
_cell_length_a 3.5185
_cell_length_b 3.5185
_cell_length_c 10.4072
_cell_angle_alpha 90.00
_cell_angle_beta 90.00
_cell_angle_gamma 120.00
loop_
_symmetry_equiv_pos_as_xyz
'x,y,z'
'-y,x-y,z'
'-x+y,-x,z'
'-y,-x,z'
'-x+y,y,z'
'x,x-y,z'
loop_
_atom_site_label
_atom_site_type_symbol
_atom_site_fract_x
_atom_site_fract_y
_atom_site_fract_z
Zr1 Zr 0.0000 0.0000 0.0000
Zr2 Zr 0.3333 0.6667 0.2462
Te1 Te 0.0000 0.0000 0.4531
C1 C 0.6667 0.3333 0.1293
Se1 Se 0.3333 0.6667 0.8319
```

# YTmCSe
Theoretical PXRD pattern, a wavelength of 1.5418 Å. Input: a structure optimized by DFT (PBE).

Largest 10 diffraction maxima, in order of rising 2θ, 15 to 90 degrees two-theta:
27.6 deg, rel. 28
28.4 deg, rel. 10
34.5 deg, rel. 100
41.1 deg, rel. 10
48.8 deg, rel. 28
50.2 deg, rel. 11
56.6 deg, rel. 11
61.1 deg, rel. 19
65.7 deg, rel. 15
81.8 deg, rel. 16

Cell and atoms:
```
data_YTmCSe
_symmetry_space_group_name_H-M 'P -3 m 1'
_symmetry_Int_Tables_number 164
_symmetry_space_group_name_Hall '-P 3 2"'
_cell_length_a 3.7327
_cell_length_b 3.7327
_cell_length_c 13.1700
_cell_angle_alpha 90.00
_cell_angle_beta 90.00
_cell_angle_gamma 120.00
loop_
_atom_site_label
_atom_site_type_symbol
_atom_site_fract_x
_atom_site_fract_y
_atom_site_fract_z
Y1 Y 0.3333 0.6667 0.1017
Tm1 Tm 0.3333 0.6667 0.4019
C1 C 0.0000 0.0000 0.0000
C2 C 0.0000 0.0000 0.5000
Se1 Se 0.3333 0.6667 0.7461
```